Entry 1:
Diffraction record for YFe2O4. The X-ray diffraction stick pattern is calculated, not measured: it uses a PBE+U-relaxed structure and Cu Ka.
Peak positions follow from Bragg's law for the DFT cell and can differ from measured ones.

Top 10 peaks for 15° ≤ 2θ ≤ 90°, by angle:
2θ/deg  I/Imax
29.4  97
29.7  57
31.5  88
32.3  100
32.9  44
34.1  40
34.3  83
46.1  56
51.6  41
59.1  43

Cell and atoms:
a b c (Å): 3.506 6.122 8.792
angles (deg): 103.92 90.62 90.50
Element x y z (fractional)
Y 0.000 0.000 0.000
Y 0.500 0.500 0.000
Fe 0.001 0.208 0.638
Fe 0.490 0.709 0.643
Fe 0.510 0.291 0.357
Fe 0.999 0.792 0.362
O 0.003 0.710 0.132
O 0.004 0.883 0.611
O 0.492 0.790 0.881
O 0.497 0.641 0.384
O 0.503 0.359 0.616
O 0.508 0.210 0.119
O 0.996 0.117 0.389
O 0.997 0.290 0.868

=====

Entry 2:
Diffraction record for YFe2O4. The X-ray diffraction stick pattern is calculated, not measured: it uses a PBE+U-relaxed structure and Cu Ka.
Peak positions follow from Bragg's law for the DFT cell and can differ from measured ones.

Top 10 peaks for 15° ≤ 2θ ≤ 90°, by angle:
2θ/deg  I/Imax
29.4  52
29.5  48
29.7  57
31.5  89
32.4  100
32.8  46
34.4  42
46.1  54
51.9  41
52.2  41

Cell and atoms:
a b c (Å): 3.522 6.088 8.740
angles (deg): 95.98 100.92 90.45
Element x y z (fractional)
Y 0.241 0.245 0.484
Y 0.759 0.755 0.516
Fe 0.078 0.856 0.145
Fe 0.431 0.636 0.860
Fe 0.569 0.364 0.140
Fe 0.922 0.144 0.855
O 0.061 0.199 0.127
O 0.199 0.885 0.384
O 0.315 0.590 0.633
O 0.453 0.322 0.896
O 0.547 0.678 0.104
O 0.685 0.410 0.367
O 0.801 0.115 0.616
O 0.939 0.801 0.873

=====

Entry 3:
Diffraction record for YFe2O4. The X-ray diffraction stick pattern is calculated, not measured: it uses a PBE+U-relaxed structure and Cu Ka.
Peak positions follow from Bragg's law for the DFT cell and can differ from measured ones.

Top 10 peaks for 15° ≤ 2θ ≤ 90°, by angle:
2θ/deg  I/Imax
29.3  44
29.5  100
31.4  84
32.2  49
32.6  89
34.1  77
34.3  39
46.4  53
51.8  75
58.7  41

Cell and atoms:
a b c (Å): 6.126 3.514 8.804
angles (deg): 90.00 104.12 90.00
Element x y z (fractional)
Y 0.245 0.250 0.495
Y 0.755 0.750 0.505
Fe 0.038 0.250 0.859
Fe 0.460 0.250 0.142
Fe 0.540 0.750 0.858
Fe 0.962 0.750 0.141
O 0.038 0.750 0.379
O 0.141 0.250 0.113
O 0.394 0.250 0.885
O 0.459 0.750 0.628
O 0.541 0.250 0.372
O 0.606 0.750 0.115
O 0.859 0.750 0.887
O 0.962 0.250 0.621

=====

Entry 4:
Diffraction record for YFe2O4. The X-ray diffraction stick pattern is calculated, not measured: it uses a PBE+U-relaxed structure and Cu Ka.
Peak positions follow from Bragg's law for the DFT cell and can differ from measured ones.

Top 10 peaks for 15° ≤ 2θ ≤ 90°, by angle:
2θ/deg  I/Imax
17.4  31
28.2  30
32.5  100
33.3  26
33.4  56
33.6  49
39.9  39
53.3  23
56.1  20
58.4  69

Cell and atoms:
a b c (Å): 6.329 6.329 6.329
angles (deg): 121.08 117.58 91.19
Element x y z (fractional)
Y 0.000 0.000 0.000
Y 0.500 0.000 0.500
Fe 0.000 0.000 0.500
Fe 0.000 0.500 0.000
Fe 0.374 0.624 0.750
Fe 0.626 0.376 0.250
O 0.243 0.243 0.500
O 0.243 0.743 0.499
O 0.243 0.744 0.000
O 0.256 0.257 0.999
O 0.744 0.743 0.001
O 0.757 0.256 0.000
O 0.757 0.257 0.501
O 0.757 0.757 0.500

=====

Entry 5:
Diffraction record for YFe2O4. The X-ray diffraction stick pattern is calculated, not measured: it uses a PBE+U-relaxed structure and Cu Ka.
Peak positions follow from Bragg's law for the DFT cell and can differ from measured ones.

Top 10 peaks for 15° ≤ 2θ ≤ 90°, by angle:
2θ/deg  I/Imax
28.2  46
33.2  100
40.3  8
49.9  17
53.1  39
58.3  42
66.0  7
68.7  11
80.2  9
82.8  18

Cell and atoms:
a b c (Å): 6.334 6.334 6.334
angles (deg): 60.00 60.00 60.00
Element x y z (fractional)
Y 0.125 0.125 0.125
Y 0.875 0.875 0.875
Fe 0.000 0.500 0.500
Fe 0.500 0.000 0.500
Fe 0.500 0.500 0.000
Fe 0.500 0.500 0.500
O 0.264 0.264 0.264
O 0.264 0.264 0.707
O 0.264 0.707 0.264
O 0.293 0.736 0.736
O 0.707 0.264 0.264
O 0.736 0.293 0.736
O 0.736 0.736 0.293
O 0.736 0.736 0.736

=====

Entry 6:
Diffraction record for YFe2O4. The X-ray diffraction stick pattern is calculated, not measured: it uses a PBE+U-relaxed structure and Cu Ka.
Peak positions follow from Bragg's law for the DFT cell and can differ from measured ones.

Top 10 peaks for 15° ≤ 2θ ≤ 90°, by angle:
2θ/deg  I/Imax
29.3  100
32.0  53
32.5  90
34.1  27
34.3  53
46.7  55
51.6  52
51.7  27
59.6  26
62.1  29

Cell and atoms:
a b c (Å): 3.544 3.544 25.201
angles (deg): 90.13 90.13 59.83
Element x y z (fractional)
Y 0.000 0.000 0.000
Y 0.327 0.327 0.334
Y 0.673 0.673 0.666
Fe 0.009 0.009 0.787
Fe 0.328 0.328 0.121
Fe 0.334 0.334 0.546
Fe 0.666 0.666 0.454
Fe 0.672 0.672 0.879
Fe 0.991 0.991 0.213
O 0.007 0.007 0.708
O 0.008 0.008 0.871
O 0.327 0.327 0.205
O 0.330 0.330 0.462
O 0.333 0.333 0.042
O 0.339 0.339 0.625
O 0.661 0.661 0.375
O 0.667 0.667 0.958
O 0.670 0.670 0.538
O 0.673 0.673 0.795
O 0.992 0.992 0.129
O 0.993 0.993 0.292

=====

Entry 7:
Diffraction record for YFe2O4. The X-ray diffraction stick pattern is calculated, not measured: it uses a PBE+U-relaxed structure and Cu Ka.
Peak positions follow from Bragg's law for the DFT cell and can differ from measured ones.

Top 10 peaks for 15° ≤ 2θ ≤ 90°, by angle:
2θ/deg  I/Imax
29.3  44
29.6  100
31.6  82
32.1  48
32.7  86
34.1  77
34.4  39
46.7  53
51.7  75
58.8  41

Cell and atoms:
a b c (Å): 8.725 8.725 6.138
angles (deg): 95.69 95.69 23.20
Element x y z (fractional)
Y 0.249 0.249 0.247
Y 0.751 0.751 0.753
Fe 0.071 0.071 0.860
Fe 0.430 0.430 0.641
Fe 0.570 0.570 0.359
Fe 0.929 0.929 0.140
O 0.061 0.061 0.198
O 0.190 0.190 0.897
O 0.315 0.315 0.598
O 0.447 0.447 0.330
O 0.553 0.553 0.670
O 0.685 0.685 0.402
O 0.810 0.810 0.103
O 0.939 0.939 0.802

=====

Entry 8:
Diffraction record for YFe3O6. The X-ray diffraction stick pattern is calculated, not measured: it uses a PBE+U-relaxed structure and Cu Ka.
Peak positions follow from Bragg's law for the DFT cell and can differ from measured ones.

Top 10 peaks for 15° ≤ 2θ ≤ 90°, by angle:
2θ/deg  I/Imax
17.3  46
28.5  37
28.8  33
33.5  62
33.7  100
33.9  59
40.9  47
54.0  43
58.9  54
59.6  47

Cell and atoms:
a b c (Å): 6.271 6.271 15.128
angles (deg): 90.00 90.00 120.00
Element x y z (fractional)
Y 0.000 0.000 0.131
Y 0.000 0.000 0.869
Y 0.333 0.667 0.440
Y 0.667 0.333 0.560
Fe 0.000 0.000 0.500
Fe 0.000 0.500 0.000
Fe 0.172 0.343 0.667
Fe 0.172 0.828 0.667
Fe 0.333 0.667 0.826
Fe 0.343 0.172 0.333
Fe 0.500 0.000 0.000
Fe 0.500 0.500 0.000
Fe 0.657 0.828 0.667
Fe 0.667 0.333 0.174
Fe 0.828 0.172 0.333
Fe 0.828 0.657 0.333
O 0.000 0.000 0.271
O 0.000 0.000 0.729
O 0.042 0.521 0.736
O 0.142 0.285 0.413
O 0.142 0.858 0.413
O 0.186 0.372 0.918
O 0.186 0.814 0.918
O 0.285 0.142 0.587
O 0.333 0.667 0.060
O 0.333 0.667 0.585
O 0.372 0.186 0.082
O 0.479 0.521 0.736
O 0.479 0.958 0.736
O 0.521 0.042 0.264
O 0.521 0.479 0.264
O 0.628 0.814 0.918
O 0.667 0.333 0.415
O 0.667 0.333 0.940
O 0.715 0.858 0.413
O 0.814 0.186 0.082
O 0.814 0.628 0.082
O 0.858 0.142 0.587
O 0.858 0.715 0.587
O 0.958 0.479 0.264